The following is a simulated X-ray powder pattern of HoTlPb6. It was derived from a DFT-relaxed cell (GGA-PBE, Alexandria), using λ = 1.5418 Å (Cu Kα).
Peak positions follow from Bragg's law for the DFT cell and can differ from measured ones.

Peak list (6 most intense, 2θ from 15° to 90°, most intense first)
two_theta, I_rel, index
31.33, 100, 1 1 2
36.82, 33, 2 0 0
62.92, 28, 3 1 2
51.96, 25, 2 0 4
35.35, 18, 0 0 4
60.96, 15, 1 1 6

Structure:
Cell: 4.882 4.882 10.156 Å, 90.00 90.00 90.00°
Fractional coordinates of all 8 atoms:
Ho 0.000 0.000 0.000
Tl 0.000 0.000 0.500
Pb 0.000 0.500 0.244
Pb 0.000 0.500 0.756
Pb 0.500 0.000 0.244
Pb 0.500 0.000 0.756
Pb 0.500 0.500 0.000
Pb 0.500 0.500 0.500